Sb5O7F: computed powder diffraction line list (λ = 1.5418 Å (Cu Kα)), based on a structure optimized by DFT (GGA-PBE).
No peak broadening, texture or thermal motion is included.

Structure:
```
52
Lattice="6.7903 0.0000 0.0000 0.0000 12.9278 0.0000 -6.4215 0.0000 11.9769" Properties=species:S:1:pos:R:3 pbc="T T T"
Sb -2.5701 3.0323 5.2100
Sb -5.7808 3.4316 11.1985
Sb 0.6707 3.0109 2.8738
Sb -2.5401 3.4530 8.8623
Sb -1.4742 7.1186 6.9210
Sb 1.7366 12.2730 0.9326
Sb -0.2176 9.6054 4.9887
Sb -3.4284 9.7862 10.9771
Sb 1.8439 7.0930 1.2130
Sb -1.3669 12.2987 7.2014
Sb 1.7356 0.6291 4.7754
Sb -1.4751 5.8348 10.7639
Sb 3.7971 3.1416 0.9997
Sb 0.5863 3.3223 6.9881
Sb -1.3679 0.6547 11.0443
Sb 1.8429 5.8091 5.0558
Sb 2.9088 9.4748 3.1146
Sb -0.3019 9.9169 9.1030
Sb 6.1496 9.4962 0.7784
Sb 2.9388 9.8955 6.7668
O 0.2779 7.9240 0.0910
O -2.9329 11.4677 6.0794
O -2.4601 8.6600 5.9897
O 0.7506 10.7316 0.0013
O -1.5114 3.1748 6.9992
O 1.6994 3.2891 1.0107
O 1.2380 8.3986 2.6775
O -1.9727 10.9930 8.6659
O 0.0934 7.8390 5.8734
O -3.1174 11.5526 11.8618
O -1.7648 1.6705 9.3923
O 1.4460 4.7934 3.4038
O 0.5165 2.2446 5.2898
O -2.6942 4.2193 11.2782
O 3.0630 8.7084 0.6986
O -0.1478 10.6832 6.6870
O -1.0772 8.1344 8.5730
O 2.1335 11.2573 2.5846
O 3.4861 1.3751 0.1150
O 0.2753 5.0887 6.1035
O 2.3415 1.9347 3.3109
O -0.8693 4.5291 9.2993
O -1.3306 9.6387 10.9661
O 1.8801 9.7529 4.9777
O -0.3819 2.1961 11.9756
O 2.8289 4.2677 5.9871
O 3.3016 1.4601 5.8975
O 0.0908 5.0038 11.8859
F 0.0898 0.4587 3.3286
F -3.1210 6.0051 9.3170
F 3.4897 6.9226 2.6598
F 0.2790 12.4690 8.6482
```

The 10 most intense peaks (5 to 70 degrees two-theta), in order of rising 2θ:
13.70 deg, rel. 44.8
14.80 deg, rel. 74.7
25.47 deg, rel. 61.3
26.47 deg, rel. 44.8
27.16 deg, rel. 99.1
29.09 deg, rel. 53.9
29.73 deg, rel. 100.0
33.02 deg, rel. 41.5
33.61 deg, rel. 46.1
45.45 deg, rel. 37.9

***

SbOF: computed powder diffraction line list (λ = 1.5418 Å (Cu Kα)), based on a structure optimized by DFT (GGA-PBE).
No peak broadening, texture or thermal motion is included.

Structure:
```
48
Lattice="5.4916 0.0000 0.0000 0.0000 13.4991 0.0000 0.0000 0.0000 12.5684" Properties=species:S:1:pos:R:3 pbc="T T T"
Sb 1.1542 3.1161 1.2060
Sb 1.1542 3.6335 7.4902
Sb 1.3254 0.2262 10.4962
Sb 1.3254 6.5233 4.2120
Sb 1.4204 6.9758 10.4962
Sb 1.4204 13.2728 4.2120
Sb 1.5916 9.8656 1.2060
Sb 1.5916 10.3830 7.4902
Sb 3.8999 3.1161 5.0782
Sb 3.8999 3.6335 11.3624
Sb 4.0712 0.2262 8.3564
Sb 4.0712 6.5233 2.0722
Sb 4.1662 6.9758 8.3564
Sb 4.1662 13.2728 2.0722
Sb 4.3374 9.8656 5.0782
Sb 4.3374 10.3830 11.3624
O 0.0970 2.7473 6.0385
O 0.0970 4.0022 12.3227
O 0.3415 7.8153 8.9995
O 0.3415 12.4333 2.7153
O 2.4043 1.0658 8.9995
O 2.4043 5.6837 2.7153
O 2.6488 9.4969 6.0385
O 2.6488 10.7517 12.3227
O 2.8427 2.7473 0.2457
O 2.8427 4.0022 6.5299
O 3.0873 7.8153 9.8531
O 3.0873 12.4333 3.5689
O 5.1500 1.0658 9.8531
O 5.1500 5.6837 3.5689
O 5.3946 9.4969 0.2457
O 5.3946 10.7517 6.5299
F 0.4130 1.3557 0.5849
F 0.4130 5.3939 6.8691
F 0.8629 8.1530 3.1233
F 0.8629 12.0956 9.4075
F 1.8829 1.4035 3.1233
F 1.8829 5.3461 9.4075
F 2.3327 8.1052 0.5849
F 2.3327 12.1434 6.8691
F 3.1588 1.3557 5.6993
F 3.1588 5.3939 11.9835
F 3.6087 8.1530 3.1609
F 3.6087 12.0956 9.4451
F 4.6287 1.4035 3.1609
F 4.6287 5.3461 9.4451
F 5.0785 8.1052 5.6993
F 5.0785 12.1434 11.9835
```

The 10 most intense peaks (5 to 70 degrees two-theta), in order of rising 2θ:
19.30 deg, rel. 34.2
25.26 deg, rel. 100.0
26.41 deg, rel. 17.5
32.61 deg, rel. 11.4
32.84 deg, rel. 19.7
42.44 deg, rel. 12.2
42.63 deg, rel. 15.4
45.92 deg, rel. 14.2
53.91 deg, rel. 10.2
56.95 deg, rel. 11.4

***

SbOF: computed powder diffraction line list (λ = 1.5418 Å (Cu Kα)), based on a structure optimized by DFT (GGA-PBE).
No peak broadening, texture or thermal motion is included.

Structure:
```
12
Lattice="12.5765 0.0000 0.0000 0.0000 3.5727 0.0000 0.0000 0.0000 4.3490" Properties=species:S:1:pos:R:3 pbc="T T T"
Sb 1.9117 0.8932 0.7381
Sb 4.3765 2.6796 2.9126
Sb 8.2000 0.8932 1.4364
Sb 10.6648 2.6796 3.6109
O 3.1233 2.6796 0.1354
O 3.1650 0.8932 2.3099
O 9.4115 2.6796 2.0391
O 9.4532 0.8932 4.2136
F 1.1144 2.6796 1.8743
F 5.1739 0.8932 4.0488
F 7.4026 2.6796 0.3002
F 11.4622 0.8932 2.4747
```

The 10 most intense peaks (5 to 70 degrees two-theta), in order of rising 2θ:
14.08 deg, rel. 40.2
24.89 deg, rel. 100.0
28.39 deg, rel. 24.5
28.74 deg, rel. 54.2
32.43 deg, rel. 38.5
38.13 deg, rel. 23.0
43.63 deg, rel. 24.7
53.99 deg, rel. 19.9
55.01 deg, rel. 18.9
57.68 deg, rel. 20.2

***

SbOF: computed powder diffraction line list (λ = 1.5418 Å (Cu Kα)), based on a structure optimized by DFT (GGA-PBE).
No peak broadening, texture or thermal motion is included.

Structure:
```
48
Lattice="5.7516 0.0000 0.0000 0.0000 12.6105 0.0000 0.0000 0.0000 11.7865" Properties=species:S:1:pos:R:3 pbc="T T T"
Sb 1.1308 2.5837 1.6910
Sb 1.1308 3.7216 7.5842
Sb 1.1852 6.4316 4.5359
Sb 1.1852 12.4841 10.4291
Sb 1.6906 0.1264 4.5359
Sb 1.6906 6.1789 10.4291
Sb 1.7450 8.8889 1.6910
Sb 1.7450 10.0268 7.5842
Sb 4.0066 2.5837 4.2022
Sb 4.0066 3.7216 10.0955
Sb 4.0610 6.4316 1.3574
Sb 4.0610 12.4841 7.2506
Sb 4.5664 0.1264 1.3574
Sb 4.5664 6.1789 7.2506
Sb 4.6208 8.8889 4.2022
Sb 4.6208 10.0268 10.0955
O 0.4640 1.0159 0.5777
O 0.4640 5.2894 6.4709
O 0.6644 7.8939 3.0999
O 0.6644 11.0219 8.9931
O 2.2114 1.5886 3.0999
O 2.2114 4.7166 8.9931
O 2.4119 7.3211 0.5777
O 2.4119 11.5946 6.4709
O 3.3398 1.0159 5.3155
O 3.3398 5.2894 11.2088
O 3.5402 7.8939 2.7934
O 3.5402 11.0219 8.6866
O 5.0872 1.5886 2.7934
O 5.0872 4.7166 8.6866
O 5.2877 7.3211 5.3155
O 5.2877 11.5946 11.2088
F 0.0472 8.6456 0.5263
F 0.0472 10.2701 6.4195
F 0.0523 1.1681 9.4236
F 0.0523 5.1371 3.5303
F 2.8235 7.4734 9.4236
F 2.8235 11.4424 3.5303
F 2.8286 2.3404 0.5263
F 2.8286 3.9649 6.4195
F 2.9230 8.6456 5.3669
F 2.9230 10.2701 11.2602
F 2.9281 1.1681 8.2561
F 2.9281 5.1371 2.3629
F 5.6993 7.4734 8.2561
F 5.6993 11.4424 2.3629
F 5.7044 2.3404 5.3669
F 5.7044 3.9649 11.2602
```

The 10 most intense peaks (5 to 70 degrees two-theta), in order of rising 2θ:
15.94 deg, rel. 18.2
18.55 deg, rel. 9.8
25.85 deg, rel. 100.0
28.34 deg, rel. 10.9
30.34 deg, rel. 14.2
31.08 deg, rel. 10.2
39.87 deg, rel. 9.4
41.97 deg, rel. 10.8
44.00 deg, rel. 11.5
51.23 deg, rel. 11.9

***

SbOF3: computed powder diffraction line list (λ = 1.5418 Å (Cu Kα)), based on a structure optimized by DFT (GGA-PBE).
No peak broadening, texture or thermal motion is included.

Structure:
```
20
Lattice="9.3118 0.0000 0.0000 0.0000 9.3118 0.0000 0.0000 0.0000 3.7758" Properties=species:S:1:pos:R:3 pbc="T T T"
Sb 1.2118 3.4441 0.9723
Sb 3.4441 8.1001 2.8035
Sb 5.8677 1.2118 2.8035
Sb 8.1001 5.8677 0.9723
O 1.0319 3.6241 2.8602
O 3.6241 8.2800 0.9155
O 5.6878 1.0319 0.9155
O 8.2800 5.6878 2.8602
F 0.8712 5.5271 0.9726
F 0.9953 1.5733 0.9668
F 1.5733 8.3166 2.8090
F 3.0827 3.6606 0.9668
F 3.6606 6.2292 2.8090
F 3.7848 0.8712 2.8031
F 5.5271 8.4407 2.8031
F 5.6512 3.0827 2.8090
F 6.2292 5.6512 0.9668
F 7.7386 0.9953 2.8090
F 8.3166 7.7386 0.9668
F 8.4407 3.7848 0.9726
```

The 10 most intense peaks (5 to 70 degrees two-theta), in order of rising 2θ:
13.45 deg, rel. 69.1
21.34 deg, rel. 100.0
25.46 deg, rel. 60.5
27.23 deg, rel. 32.0
37.51 deg, rel. 15.4
38.68 deg, rel. 35.8
46.88 deg, rel. 17.2
53.28 deg, rel. 15.8
54.98 deg, rel. 18.0
55.89 deg, rel. 19.9

***

Sb5O7F: computed powder diffraction line list (λ = 1.5418 Å (Cu Kα)), based on a structure optimized by DFT (GGA-PBE).
No peak broadening, texture or thermal motion is included.

Structure:
```
26
Lattice="9.8328 -2.0817 0.0000 9.8328 2.0817 0.0000 -6.1463 0.0000 12.4408" Properties=species:S:1:pos:R:3 pbc="T T T"
Sb -1.3379 0.0000 4.2582
Sb 1.0583 0.0000 1.6046
Sb 1.4010 0.0000 8.0159
Sb -0.0355 0.0000 11.0738
Sb 4.9202 0.0000 5.4724
Sb 8.5991 0.0000 6.9684
Sb 13.5547 0.0000 1.3670
Sb 12.1182 0.0000 4.4249
Sb 12.4610 0.0000 10.8361
Sb 14.8572 0.0000 8.1826
O -0.9829 0.0000 6.2593
O 0.5658 0.0000 3.5958
O 3.0551 0.0000 1.5771
O -0.3341 0.0000 8.9952
O 2.9710 0.0000 5.1342
O 2.0195 0.0000 10.2502
O 4.8518 0.0000 7.5571
O 8.6674 0.0000 4.8837
O 11.4997 0.0000 2.1906
O 10.5482 0.0000 7.3066
O 13.8534 0.0000 3.4456
O 10.4642 0.0000 10.8637
O 12.9534 0.0000 8.8450
O 14.5021 0.0000 6.1815
F 7.4564 0.0000 0.2691
F 6.0628 0.0000 12.1717
```

The 10 most intense peaks (5 to 70 degrees two-theta), in order of rising 2θ:
7.11 deg, rel. 52.6
9.38 deg, rel. 39.0
13.30 deg, rel. 37.7
14.66 deg, rel. 76.9
25.35 deg, rel. 45.5
26.23 deg, rel. 32.6
28.70 deg, rel. 44.1
28.96 deg, rel. 100.0
29.41 deg, rel. 69.4
43.47 deg, rel. 46.2

***

SbOF: computed powder diffraction line list (λ = 1.5418 Å (Cu Kα)), based on a structure optimized by DFT (GGA-PBE).
No peak broadening, texture or thermal motion is included.

Structure:
```
6
Lattice="3.9123 0.0000 0.0000 0.0000 3.9123 0.0000 0.0000 0.0000 5.6936" Properties=species:S:1:pos:R:3 pbc="T T T"
Sb 0.9781 0.9781 1.2149
Sb 2.9342 2.9342 4.4787
O 0.9781 2.9342 0.0000
O 2.9342 0.9781 0.0000
F 0.9781 2.9342 2.8468
F 2.9342 0.9781 2.8468
```

The 10 most intense peaks (5 to 70 degrees two-theta), in order of rising 2θ:
27.67 deg, rel. 100.0
31.42 deg, rel. 6.5
32.36 deg, rel. 16.8
39.13 deg, rel. 8.2
45.73 deg, rel. 36.5
46.42 deg, rel. 20.6
53.68 deg, rel. 9.7
54.90 deg, rel. 28.9
57.13 deg, rel. 5.6
67.75 deg, rel. 6.1

***

Sb6O5F8: computed powder diffraction line list (λ = 1.5418 Å (Cu Kα)), based on a structure optimized by DFT (GGA-PBE).
No peak broadening, texture or thermal motion is included.

Structure:
```
19
Lattice="4.2463 0.0000 0.0000 -0.0879 6.2552 0.0000 -1.9711 -0.9641 14.0353" Properties=species:S:1:pos:R:3 pbc="T T T"
Sb 0.0000 0.0000 0.0000
Sb -0.8684 2.0988 6.2295
Sb 0.7063 5.8792 4.1386
Sb 0.0384 2.4585 10.9989
Sb 2.1419 1.9908 1.7635
Sb 1.6783 -0.1207 8.5072
O 0.0298 1.4087 1.4595
O 0.5173 0.6578 5.8130
O 2.1521 0.4689 0.4176
O 2.1669 0.9126 3.4542
O 2.9792 1.2950 7.9867
F -0.0730 4.7703 1.2936
F 0.6312 3.1062 7.0015
F 0.1488 4.3053 10.4717
F 0.0779 2.9137 12.8940
F 2.2038 4.8600 4.9586
F 2.2388 2.7340 11.2578
F 2.4292 0.0765 10.3307
F 2.8205 4.7036 8.0392
```

The 10 most intense peaks (5 to 70 degrees two-theta), in order of rising 2θ:
14.19 deg, rel. 24.9
15.14 deg, rel. 18.0
22.96 deg, rel. 75.1
24.55 deg, rel. 57.6
25.59 deg, rel. 100.0
26.19 deg, rel. 49.9
30.82 deg, rel. 20.2
35.86 deg, rel. 18.5
43.50 deg, rel. 17.4
46.42 deg, rel. 15.8